Theoretical powder diffractogram
Compound: Ac2Cd6Sn3
Radiation: Cu Kα X-rays
Structure: DFT lattice parameters and positions (GGA-PBE)
Peak positions follow from Bragg's law for the DFT cell and can differ from measured ones.

Cell lengths 8.7299, 8.7299, 4.5941 Å; angles 90.00, 90.00, 120.00 degrees
Space group P-62m (No. 189)
Symmetry-distinct sites (fractional):
Ac 0.3333 0.6667 0.0000 (multiplicity 2)
Cd 0.0000 0.2746 0.5000 (multiplicity 3)
Cd 0.0000 0.8079 0.0000 (multiplicity 3)
Sn 0.0000 0.6037 0.5000 (multiplicity 3)

Top 12 peaks for 2θ from 15° to 90°, by intensity:
| hkl | 2theta | d_spacing | Rel. int. |
| --- | --- | --- | --- |
| 1 1 1 | 28.20 | 3.164 | 100 |
| 2 1 1 | 37.05 | 2.426 | 69 |
| 2 1 0 | 31.30 | 2.858 | 30 |
| 3 0 0 | 35.63 | 2.520 | 29 |
| 0 0 2 | 39.22 | 2.297 | 27 |
| 4 1 1 | 59.54 | 1.553 | 21 |
| 2 0 1 | 30.63 | 2.919 | 18 |
| 3 0 2 | 54.02 | 1.698 | 18 |
| 3 1 0 | 43.14 | 2.097 | 18 |
| 2 1 2 | 51.01 | 1.790 | 15 |
| 2 2 1 | 46.04 | 1.971 | 14 |
| 3 1 2 | 59.71 | 1.549 | 14 |